This entry pairs a crystal structure of ZnCoNi2O5 with its theoretical PXRD pattern. Radiation: λ = 1.5418 Å (Cu Kα). Structure: a structure optimized by DFT (GGA+U).
Intensities are scaled so that the largest is 100.

Most intense lines, 2θ = 10–90°, low angle first:
2θ 19.1, d = 4.638 Å, I = 12; 2θ 31.3, d = 2.855 Å, I = 13; 2θ 34.5, d = 2.601 Å, I = 25; 2θ 35.6, d = 2.520 Å, I = 100; 2θ 44.4, d = 2.042 Å, I = 12; 2θ 50.0, d = 1.825 Å, I = 23; 2θ 51.4, d = 1.779 Å, I = 11; 2θ 52.5, d = 1.742 Å, I = 18; 2θ 62.5, d = 1.486 Å, I = 22; 2θ 75.4, d = 1.260 Å, I = 11

Atomic structure:
```
ZnCoNi2O5
1.0
-1.7417 2.6006 5.1232
1.7417 -2.6006 5.1232
1.7417 2.6006 -5.1232
Zn Co Ni O
1 1 2 5
Cartesian
0.0000 0.0000 0.0000
0.0000 0.0000 5.1232
1.7417 0.0000 3.0672
0.0000 2.6006 2.0560
1.7417 1.2977 -1.3835
1.7417 1.2977 1.3835
0.0000 2.6006 0.0000
0.0000 1.3030 3.7397
0.0000 1.3030 6.5067
```